This entry pairs a crystal structure of Sm8Al2Tl with its computed X-ray diffraction stick pattern. Radiation: λ = 1.5418 Å (Cu Kα). Structure: a structure optimized by DFT (PBE).

Atomic structure:
```
11
Lattice="-2.5452 4.2822 7.4903 2.5452 -4.2822 7.4903 2.5452 4.2822 -7.4903" Properties=species:S:1:pos:R:3 pbc="T T T"
Sm 2.5452 2.4160 -2.4191
Sm 0.0000 0.0000 2.1643
Sm 0.0000 2.6915 0.0000
Sm 2.5452 2.4160 2.4191
Sm 0.0000 1.8662 5.0712
Sm 0.0000 5.8729 0.0000
Sm 0.0000 0.0000 12.8163
Sm 0.0000 1.8662 9.9093
Al 2.5452 0.0000 4.5990
Al 0.0000 4.2822 2.8912
Tl 2.5452 0.0000 0.0000
```

Principal peaks in the range 2θ = 10–90°, sorted by position:
2θ = 11.9°, intensity 13; 2θ = 23.5°, intensity 23; 2θ = 31.4°, intensity 30; 2θ = 31.9°, intensity 22; 2θ = 32.7°, intensity 100; 2θ = 35.3°, intensity 26; 2θ = 36.0°, intensity 21; 2θ = 48.3°, intensity 14; 2θ = 51.3°, intensity 15; 2θ = 61.7°, intensity 16

---

This entry pairs a crystal structure of LaRhW4 with its computed X-ray diffraction stick pattern. Radiation: λ = 1.5418 Å (Cu Kα). Structure: a structure optimized by DFT (PBE).

Atomic structure:
```
6
Lattice="0.0000 3.8547 3.8547 3.8547 0.0000 3.8547 3.8547 3.8547 0.0000" Properties=species:S:1:pos:R:3 pbc="T T T"
La 0.0000 0.0000 0.0000
Rh 5.7820 5.7820 5.7820
W 2.8859 2.8859 2.8859
W 4.8235 4.8235 2.8859
W 4.8235 2.8859 4.8235
W 2.8859 4.8235 4.8235
```

Principal peaks in the range 2θ = 10–90°, sorted by position:
2θ = 19.9°, intensity 22; 2θ = 32.9°, intensity 16; 2θ = 38.7°, intensity 100; 2θ = 40.5°, intensity 54; 2θ = 47.2°, intensity 12; 2θ = 58.7°, intensity 6; 2θ = 62.6°, intensity 33; 2θ = 68.9°, intensity 30; 2θ = 81.9°, intensity 12; 2θ = 83.1°, intensity 21

---

This entry pairs a crystal structure of TmAgBi with its computed X-ray diffraction stick pattern. Radiation: λ = 1.5418 Å (Cu Kα). Structure: a structure optimized by DFT (PBE).

Atomic structure:
```
3
Lattice="4.6460 0.0000 0.0000 -2.3230 4.0235 0.0000 0.0000 0.0000 4.1774" Properties=species:S:1:pos:R:3 pbc="T T T"
Tm 0.0000 0.0000 0.0000
Ag 2.3230 1.3412 2.8270
Bi 0.0000 2.6823 1.7655
```

Principal peaks in the range 2θ = 10–90°, sorted by position:
2θ = 30.9°, intensity 100; 2θ = 38.8°, intensity 52; 2θ = 49.1°, intensity 22; 2θ = 50.3°, intensity 26; 2θ = 59.5°, intensity 7; 2θ = 64.3°, intensity 10; 2θ = 65.3°, intensity 24; 2θ = 70.2°, intensity 9; 2θ = 77.7°, intensity 12; 2θ = 80.4°, intensity 6

---

This entry pairs a crystal structure of Ac3In8Pt3 with its computed X-ray diffraction stick pattern. Radiation: λ = 1.5418 Å (Cu Kα). Structure: a structure optimized by DFT (PBE).

Atomic structure:
```
14
Lattice="8.7975 -2.4532 0.0000 8.7975 2.4532 0.0000 -5.6713 0.0000 8.2301" Properties=species:S:1:pos:R:3 pbc="T T T"
Ac 0.0000 0.0000 0.0000
Ac 3.3672 0.0000 2.3747
Ac 8.5564 0.0000 5.8554
In -2.3494 0.0000 6.9164
In 0.1759 0.0000 3.5748
In 0.5808 0.0000 8.0242
In 4.9366 0.0000 5.4457
In 6.9871 0.0000 2.7844
In 11.3429 0.0000 0.2059
In 11.7478 0.0000 4.6553
In 14.2731 0.0000 1.3137
Pt -2.8356 0.0000 4.1151
Pt 2.1662 0.0000 5.7847
Pt 9.7574 0.0000 2.4454
```

Principal peaks in the range 2θ = 10–90°, sorted by position:
2θ = 25.9°, intensity 27; 2θ = 30.5°, intensity 52; 2θ = 31.6°, intensity 100; 2θ = 32.0°, intensity 62; 2θ = 32.5°, intensity 49; 2θ = 34.8°, intensity 49; 2θ = 36.6°, intensity 71; 2θ = 41.0°, intensity 38; 2θ = 48.4°, intensity 29; 2θ = 61.1°, intensity 40

---

This entry pairs a crystal structure of HfMgS3 with its computed X-ray diffraction stick pattern. Radiation: λ = 1.5418 Å (Cu Kα). Structure: a structure optimized by DFT (PBE).

Atomic structure:
```
10
Lattice="6.3815 0.0000 0.0000 -3.1908 5.5266 0.0000 0.0000 0.0000 6.3499" Properties=species:S:1:pos:R:3 pbc="T T T"
Hf 0.0000 0.0000 0.0000
Hf 0.0000 0.0000 3.1749
Mg 0.0000 3.6844 0.0000
Mg 0.0000 3.6844 3.1749
S -0.8844 1.7973 1.5875
S -2.0765 3.8619 4.7624
S 0.8844 1.7973 4.7624
S -1.1920 5.3939 1.5875
S 2.0765 3.8619 1.5875
S 1.1920 5.3939 4.7624
```

Principal peaks in the range 2θ = 10–90°, sorted by position:
2θ = 16.0°, intensity 100; 2θ = 28.0°, intensity 21; 2θ = 31.4°, intensity 10; 2θ = 32.4°, intensity 13; 2θ = 32.5°, intensity 30; 2θ = 40.1°, intensity 42; 2θ = 43.4°, intensity 32; 2θ = 49.5°, intensity 15; 2θ = 52.4°, intensity 18; 2θ = 65.5°, intensity 9

---

This entry pairs a crystal structure of NaLiZr4S8 with its computed X-ray diffraction stick pattern. Radiation: λ = 1.5418 Å (Cu Kα). Structure: a structure optimized by DFT (PBE).

Atomic structure:
```
14
Lattice="3.7757 2.1799 6.5152 -3.7757 2.1799 6.5152 0.0000 -4.3597 6.5152" Properties=species:S:1:pos:R:3 pbc="T T T"
Na 0.0000 0.0000 0.0000
Li 0.0000 0.0000 6.9439
Zr 0.0000 -2.2619 10.5285
Zr -1.9589 1.1310 10.5285
Zr 0.0000 0.0000 14.6296
Zr 1.9589 1.1310 10.5285
S 0.0000 -2.0354 5.4113
S -1.7627 1.0177 5.4113
S 0.0000 0.0000 2.5680
S -1.7643 -1.0186 8.8821
S 1.7627 1.0177 5.4113
S 1.7643 -1.0186 8.8821
S 0.0000 2.0372 8.8821
S 0.0000 0.0000 12.0709
```

Principal peaks in the range 2θ = 10–90°, sorted by position:
2θ = 13.6°, intensity 78; 2θ = 16.3°, intensity 49; 2θ = 22.7°, intensity 60; 2θ = 26.6°, intensity 26; 2θ = 27.3°, intensity 60; 2θ = 27.7°, intensity 100; 2θ = 33.0°, intensity 92; 2θ = 42.6°, intensity 44; 2θ = 46.4°, intensity 76; 2θ = 48.2°, intensity 70

---

This entry pairs a crystal structure of Pm4NpS7 with its computed X-ray diffraction stick pattern. Radiation: λ = 1.5418 Å (Cu Kα). Structure: a structure optimized by DFT (PBE).

Atomic structure:
```
12
Lattice="6.6047 -1.9611 0.0000 6.6047 1.9611 0.0000 -3.0606 0.0000 11.4221" Properties=species:S:1:pos:R:3 pbc="T T T"
Pm 0.0000 0.0000 0.0000
Pm 0.1308 0.0000 8.7627
Pm 6.5361 0.0000 4.3863
Pm 9.9326 0.0000 6.5649
Np 9.7125 0.0000 1.7375
S 1.3078 0.0000 2.5712
S 1.3745 0.0000 5.9920
S 4.8125 0.0000 0.8794
S 5.2858 0.0000 7.1470
S 5.4143 0.0000 10.5856
S 8.7263 0.0000 9.0407
S 11.1417 0.0000 4.0752
```

Principal peaks in the range 2θ = 10–90°, sorted by position:
2θ = 23.4°, intensity 100; 2θ = 23.7°, intensity 37; 2θ = 23.9°, intensity 89; 2θ = 25.6°, intensity 46; 2θ = 27.0°, intensity 46; 2θ = 30.6°, intensity 48; 2θ = 32.2°, intensity 73; 2θ = 33.4°, intensity 40; 2θ = 41.2°, intensity 33; 2θ = 46.2°, intensity 42

---

This entry pairs a crystal structure of BaSr5O6 with its computed X-ray diffraction stick pattern. Radiation: λ = 1.5418 Å (Cu Kα). Structure: a structure optimized by DFT (PBE).

Atomic structure:
```
12
Lattice="3.2313 -5.6055 0.0000 3.2313 5.6055 0.0000 -2.1407 0.0000 6.0887" Properties=species:S:1:pos:R:3 pbc="T T T"
Ba 0.0000 0.0000 0.0000
Sr 2.1610 3.7098 3.0444
Sr 3.2313 1.8726 0.0000
Sr 2.1610 0.0000 3.0444
Sr 3.2313 -1.8726 0.0000
Sr 2.1610 -3.7098 3.0444
O 1.1214 1.9356 1.5492
O 0.0871 0.0000 4.5288
O 1.1214 -1.9356 1.5492
O 3.2007 1.9356 4.5395
O 4.2349 0.0000 1.5599
O 3.2007 -1.9356 4.5395
```

Principal peaks in the range 2θ = 10–90°, sorted by position:
2θ = 29.3°, intensity 72; 2θ = 29.3°, intensity 24; 2θ = 34.0°, intensity 100; 2θ = 48.8°, intensity 45; 2θ = 48.8°, intensity 23; 2θ = 57.9°, intensity 30; 2θ = 58.0°, intensity 15; 2θ = 60.8°, intensity 23; 2θ = 79.1°, intensity 13; 2θ = 81.5°, intensity 14

---

Copy entry 2 word for word.
This entry pairs a crystal structure of LaRhW4 with its computed X-ray diffraction stick pattern. Radiation: λ = 1.5418 Å (Cu Kα). Structure: a structure optimized by DFT (PBE).

Atomic structure:
```
6
Lattice="0.0000 3.8547 3.8547 3.8547 0.0000 3.8547 3.8547 3.8547 0.0000" Properties=species:S:1:pos:R:3 pbc="T T T"
La 0.0000 0.0000 0.0000
Rh 5.7820 5.7820 5.7820
W 2.8859 2.8859 2.8859
W 4.8235 4.8235 2.8859
W 4.8235 2.8859 4.8235
W 2.8859 4.8235 4.8235
```

Principal peaks in the range 2θ = 10–90°, sorted by position:
2θ = 19.9°, intensity 22; 2θ = 32.9°, intensity 16; 2θ = 38.7°, intensity 100; 2θ = 40.5°, intensity 54; 2θ = 47.2°, intensity 12; 2θ = 58.7°, intensity 6; 2θ = 62.6°, intensity 33; 2θ = 68.9°, intensity 30; 2θ = 81.9°, intensity 12; 2θ = 83.1°, intensity 21